Entry 1:
Li4Zn7Ag: simulated powder diffraction line list (Cu Kα (λ = 1.5418 Å)), based on DFT lattice parameters and positions (GGA-PBE).
No peak broadening, texture or thermal motion is included.

Top 10 peaks for 2θ from 15° to 90°, by intensity:
40.30°, intensity 100, (1 2 2)
40.59°, intensity 99, (-1 2 2)
40.97°, intensity 97, (1 2 -1)
40.78°, intensity 97, (1 -2 1)
25.25°, intensity 94, (1 -1 0)
42.64°, intensity 86, (2 0 0)
42.46°, intensity 86, (0 0 3)
22.18°, intensity 53, (0 1 -1)
55.89°, intensity 37, (0 4 1)
27.78°, intensity 35, (0 1 2)

Crystal structure
a b c (Å): 4.2409 6.5815 6.6196
angles (deg): 74.79 89.40 89.90
Space group P-1 (No. 2)
One atom of each set of equivalent atoms:
Li 0.0006 0.1613 0.3316 (multiplicity 2)
Li 0.4995 0.5801 0.6719 (multiplicity 2)
Zn 0.0000 0.0000 0.0000 (multiplicity 1)
Zn 0.0020 0.6699 0.3415 (multiplicity 2)
Zn 0.4989 0.0848 0.6596 (multiplicity 2)
Zn 0.4988 0.7624 0.9973 (multiplicity 2)
Ag 0.0000 0.5000 0.0000 (multiplicity 1)

Entry 2:
LiZn7Ag3: simulated powder diffraction line list (Cu Kα (λ = 1.5418 Å)), based on DFT lattice parameters and positions (GGA-PBE).
No peak broadening, texture or thermal motion is included.

Top 10 peaks for 2θ from 15° to 90°, by intensity:
40.09°, intensity 100, (2 2 1)
39.84°, intensity 96, (0 4 0)
37.17°, intensity 54, (2 0 -2)
42.48°, intensity 41, (3 3 -1)
38.93°, intensity 39, (4 0 -1)
43.95°, intensity 35, (4 2 -1)
29.87°, intensity 28, (2 2 -1)
42.37°, intensity 27, (2 2 -2)
31.42°, intensity 26, (3 1 -1)
35.04°, intensity 23, (1 3 -1)

Crystal structure
a b c (Å): 9.2800 9.0545 4.8790
angles (deg): 90.00 113.96 90.00
Space group C2/m (No. 12)
One atom of each set of equivalent atoms:
Li 0.0000 0.0000 0.0000 (multiplicity 2)
Zn 0.0000 0.0000 0.5000 (multiplicity 2)
Zn 0.1758 0.2551 0.1714 (multiplicity 8)
Zn 0.2311 0.5000 0.5546 (multiplicity 4)
Ag 0.0000 0.2961 0.5000 (multiplicity 4)
Ag 0.0000 0.5000 0.0000 (multiplicity 2)

Entry 3:
Li9Zn2Ag3: simulated powder diffraction line list (Cu Kα (λ = 1.5418 Å)), based on DFT lattice parameters and positions (GGA-PBE).
No peak broadening, texture or thermal motion is included.

Top 10 peaks for 2θ from 15° to 90°, by intensity:
21.93°, intensity 100, (1 0 1)
16.99°, intensity 41, (0 0 2)
38.05°, intensity 36, (1 3 2)
37.41°, intensity 26, (0 3 3)
42.55°, intensity 25, (1 4 1)
37.57°, intensity 18, (1 2 3)
41.03°, intensity 17, (2 0 0)
48.97°, intensity 15, (1 3 4)
56.73°, intensity 15, (2 3 3)
27.15°, intensity 14, (0 1 3)

Crystal structure
a b c (Å): 4.3991 9.9789 10.4348
angles (deg): 90.00 90.00 90.00
Space group Immm (No. 71)
One atom of each set of equivalent atoms:
Li 0.0000 0.0000 0.0000 (multiplicity 2)
Li 0.0000 0.1386 0.2497 (multiplicity 8)
Li 0.0000 0.3626 0.1160 (multiplicity 8)
Zn 0.0000 0.5000 0.3408 (multiplicity 4)
Ag 0.0000 0.0000 0.5000 (multiplicity 2)
Ag 0.0000 0.2872 0.5000 (multiplicity 4)

Entry 4:
Li6ZnAg8: simulated powder diffraction line list (Cu Kα (λ = 1.5418 Å)), based on DFT lattice parameters and positions (GGA-PBE).
No peak broadening, texture or thermal motion is included.

Top 10 peaks for 2θ from 15° to 90°, by intensity:
28.76°, intensity 100, (1 1 1)
40.22°, intensity 84, (1 1 2)
40.32°, intensity 77, (3 -1 1)
15.78°, intensity 68, (0 0 1)
42.01°, intensity 47, (3 0 0)
32.00°, intensity 31, (2 0 1)
65.18°, intensity 24, (3 2 1)
85.57°, intensity 19, (6 -1 1)
49.51°, intensity 18, (2 1 2)
78.24°, intensity 17, (4 0 3)

Crystal structure
a b c (Å): 7.4495 7.4495 5.6160
angles (deg): 90.00 90.00 120.00
Space group P-31m (No. 162)
One atom of each set of equivalent atoms:
Li 0.0000 0.3805 0.3195 (multiplicity 6)
Zn 0.0000 0.0000 0.5000 (multiplicity 1)
Ag 0.0000 0.2708 0.8207 (multiplicity 6)
Ag 0.3333 0.6667 0.0000 (multiplicity 2)

Entry 5:
Li7Zn2Ag3: simulated powder diffraction line list (Cu Kα (λ = 1.5418 Å)), based on DFT lattice parameters and positions (GGA-PBE).
No peak broadening, texture or thermal motion is included.

Top 10 peaks for 2θ from 15° to 90°, by intensity:
17.61°, intensity 100, (0 0 3)
38.97°, intensity 35, (0 1 4)
40.11°, intensity 23, (2 0 -1)
39.46°, intensity 20, (1 1 2)
28.21°, intensity 18, (1 0 3)
39.94°, intensity 18, (1 1 -3)
36.86°, intensity 18, (1 1 -1)
29.12°, intensity 16, (1 0 -4)
36.76°, intensity 16, (1 1 0)
37.92°, intensity 16, (1 1 -2)

Crystal structure
a b c (Å): 4.4987 2.9216 15.2095
angles (deg): 90.00 96.73 90.00
Space group P2/m (No. 10)
One atom of each set of equivalent atoms:
Li 0.0000 0.0000 0.0000 (multiplicity 1)
Li 0.1144 0.5000 0.2007 (multiplicity 2)
Li 0.2645 0.5000 0.5361 (multiplicity 2)
Li 0.4100 0.0000 0.8532 (multiplicity 2)
Zn 0.3458 0.5000 0.7032 (multiplicity 2)
Ag 0.1867 0.0000 0.3677 (multiplicity 2)
Ag 0.5000 0.5000 0.0000 (multiplicity 1)

Entry 6:
Li3Zn5Ag4: simulated powder diffraction line list (Cu Kα (λ = 1.5418 Å)), based on DFT lattice parameters and positions (GGA-PBE).
No peak broadening, texture or thermal motion is included.

Top 10 peaks for 2θ from 15° to 90°, by intensity:
40.88°, intensity 100, (5 1 -1)
38.48°, intensity 97, (0 2 0)
38.66°, intensity 53, (3 1 1)
41.30°, intensity 52, (3 1 -3)
37.77°, intensity 50, (1 1 2)
23.99°, intensity 33, (2 0 -2)
36.37°, intensity 29, (2 0 -3)
20.61°, intensity 23, (1 1 0)
28.48°, intensity 19, (3 1 -1)
53.98°, intensity 18, (2 2 -3)

Crystal structure
a b c (Å): 12.7080 4.6788 7.4617
angles (deg): 90.00 119.56 90.00
Space group C2/m (No. 12)
One atom of each set of equivalent atoms:
Li 0.0000 0.0000 0.0000 (multiplicity 2)
Li 0.2305 0.5000 0.2446 (multiplicity 4)
Zn 0.0000 0.5000 0.0000 (multiplicity 2)
Zn 0.0555 0.0000 0.7065 (multiplicity 4)
Zn 0.1790 0.0000 0.3633 (multiplicity 4)
Ag 0.0780 0.5000 0.4084 (multiplicity 4)
Ag 0.1961 0.5000 0.8640 (multiplicity 4)

Entry 7:
Li3Zn5Ag2: simulated powder diffraction line list (Cu Kα (λ = 1.5418 Å)), based on DFT lattice parameters and positions (GGA-PBE).
No peak broadening, texture or thermal motion is included.

Top 10 peaks for 2θ from 15° to 90°, by intensity:
21.56°, intensity 100, (1 3 0)
38.85°, intensity 84, (0 2 2)
35.39°, intensity 59, (3 2 1)
42.41°, intensity 48, (3 4 1)
39.73°, intensity 46, (0 6 0)
45.42°, intensity 30, (0 4 2)
26.39°, intensity 29, (2 1 1)
41.52°, intensity 26, (4 1 1)
66.80°, intensity 23, (0 8 2)
38.18°, intensity 15, (1 1 2)

Crystal structure
a b c (Å): 9.8501 13.6134 4.9342
angles (deg): 90.00 90.00 90.00
Space group Ibam (No. 72)
One atom of each set of equivalent atoms:
Li 0.0000 0.0000 0.2500 (multiplicity 4)
Li 0.1048 0.3345 0.0000 (multiplicity 8)
Zn 0.0000 0.5000 0.2500 (multiplicity 4)
Zn 0.2150 0.1651 0.0000 (multiplicity 8)
Zn 0.2484 0.0000 0.2500 (multiplicity 8)
Ag 0.0958 0.1811 0.5000 (multiplicity 8)

Entry 8:
LiZn2Ag2: simulated powder diffraction line list (Cu Kα (λ = 1.5418 Å)), based on DFT lattice parameters and positions (GGA-PBE).
No peak broadening, texture or thermal motion is included.

Top 10 peaks for 2θ from 15° to 90°, by intensity:
39.10°, intensity 100, (1 1 -3)
39.33°, intensity 95, (3 1 1)
43.35°, intensity 36, (4 0 -2)
45.48°, intensity 31, (2 0 4)
47.87°, intensity 30, (0 2 0)
27.08°, intensity 22, (1 1 -1)
66.55°, intensity 19, (4 2 -2)
68.17°, intensity 17, (2 2 4)
27.39°, intensity 16, (1 1 1)
19.27°, intensity 14, (2 0 0)

Crystal structure
a b c (Å): 9.2209 3.7999 9.0381
angles (deg): 90.00 92.39 90.00
Space group C2/m (No. 12)
One atom of each set of equivalent atoms:
Li 0.2490 0.0000 0.2523 (multiplicity 4)
Zn 0.0537 0.5000 0.3483 (multiplicity 4)
Zn 0.1550 0.5000 0.0544 (multiplicity 4)
Ag 0.0513 0.0000 0.8514 (multiplicity 4)
Ag 0.1488 0.0000 0.5533 (multiplicity 4)